[1]
Simulated powder diffraction line list of SmGaCuNi2 for Cu Kα, from DFT lattice parameters and positions (GGA-PBE).
Intensities are scaled so that the largest is 100.

Structural model:
```
SmGaCuNi2
1.0
3.7819 0.0000 0.0000
0.0000 3.9605 0.0000
0.0000 0.0000 10.8509
Sm Ga Cu Ni
2 2 2 4
direct
0.0000 0.0000 0.0000 Sm
0.5000 0.5000 0.5000 Sm
0.0000 0.5000 0.7569 Ga
0.5000 0.0000 0.2569 Ga
0.0000 0.0000 0.6194 Cu
0.5000 0.5000 0.1194 Cu
0.0000 0.0000 0.3962 Ni
0.0000 0.5000 0.2665 Ni
0.5000 0.0000 0.7665 Ni
0.5000 0.5000 0.8962 Ni
```

Top 10 peaks for 2θ = 10–90°, by intensity:
2θ 36.8, I 100.0, (1 1 2)
2θ 34.3, I 33.1, (1 0 3)
2θ 33.6, I 28.8, (0 1 3)
2θ 45.8, I 24.7, (0 2 0)
2θ 48.1, I 21.3, (2 0 0)
2θ 47.8, I 20.7, (0 1 5)
2θ 48.4, I 15.4, (1 0 5)
2θ 32.7, I 15.1, (1 1 0)
2θ 68.6, I 14.0, (2 2 0)
2θ 58.5, I 13.8, (1 2 3)

[2]
Simulated powder diffraction line list of PmCuPbS3 for Cu Kα, from DFT lattice parameters and positions (GGA-PBE).
Intensities are scaled so that the largest is 100.

Structural model:
```
PmCuPbS3
1.0
8.4333 0.0000 0.0000
0.0000 3.9809 0.0000
-1.8372 0.0000 8.5082
Pm Cu Pb S
2 2 2 6
direct
0.1701 0.2500 0.1761 Pm
0.8299 0.7500 0.8240 Pm
0.4175 0.7500 0.4175 Cu
0.5825 0.2500 0.5825 Cu
0.3193 0.7500 0.7718 Pb
0.6807 0.2500 0.2282 Pb
0.0703 0.2500 0.8378 S
0.2926 0.2500 0.4972 S
0.3947 0.7500 0.1404 S
0.6053 0.2500 0.8596 S
0.7074 0.7500 0.5028 S
0.9297 0.7500 0.1622 S
```

Top 10 peaks for 2θ = 10–90°, by intensity:
2θ 31.5, I 100.0, (0 0 3)
2θ 31.2, I 96.2, (2 1 0)
2θ 24.7, I 69.6, (0 1 1)
2θ 20.9, I 49.0, (0 0 2)
2θ 26.8, I 40.4, (2 0 -2)
2θ 40.5, I 34.1, (2 1 2)
2θ 39.0, I 32.6, (0 1 3)
2θ 45.6, I 31.0, (0 2 0)
2θ 41.4, I 30.5, (2 1 -3)
2θ 25.9, I 26.3, (2 0 1)

[3]
Simulated powder diffraction line list of Ca2SeCl for Cu Kα, from DFT lattice parameters and positions (GGA-PBE).
Intensities are scaled so that the largest is 100.

Structural model:
```
Ca2SeCl
1.0
4.0775 0.0000 0.0000
-2.0388 3.5313 0.0000
0.0000 0.0000 28.5760
Ca Se Cl
6 3 3
direct
0.0000 0.0000 0.0000 Ca
0.0000 0.0000 0.1292 Ca
0.3333 0.6667 0.6667 Ca
0.3333 0.6667 0.7959 Ca
0.6667 0.3333 0.3333 Ca
0.6667 0.3333 0.4625 Ca
0.0000 0.0000 0.3972 Se
0.3333 0.6667 0.0639 Se
0.6667 0.3333 0.7306 Se
0.0000 0.0000 0.6165 Cl
0.3333 0.6667 0.2832 Cl
0.6667 0.3333 0.9499 Cl
```

Top 10 peaks for 2θ = 10–90°, by intensity:
2θ 29.7, I 100.0, (0 1 5)
2θ 35.8, I 97.1, (0 1 8)
2θ 28.2, I 87.4, (1 0 4)
2θ 44.4, I 74.1, (1 1 0)
2θ 40.6, I 48.2, (1 0 10)
2θ 33.6, I 46.8, (1 0 7)
2θ 26.0, I 37.6, (0 1 2)
2θ 45.5, I 31.7, (1 1 3)
2θ 25.4, I 29.3, (1 0 1)
2θ 67.3, I 25.6, (1 1 15)